Entry 1:
# Tb3DyIr
Calculated powder X-ray diffraction pattern, a wavelength of 1.5418 Å. Input: a DFT-relaxed cell (PBE, Alexandria).

Crystal structure
```
Tb3DyIr
1.0
7.6508 0.0000 0.0000
0.0000 6.5387 0.0000
0.0000 0.0000 6.2036
Tb Dy Ir
6 2 2
direct
0.0000 0.1531 0.0000
0.2499 0.3132 0.5035
0.2501 0.6868 0.0035
0.5000 0.8469 0.5000
0.7501 0.3132 0.5035
0.7499 0.6868 0.0035
0.0000 0.8465 0.5074
0.5000 0.1535 0.0074
0.0000 0.5010 0.2541
0.5000 0.4990 0.7541
```

Principal peaks in the range 10 to 90 degrees two-theta, in order of falling intensity:
two_theta, I/Imax
30.7, 100
30.9, 44
39.9, 39
48.0, 30
22.9, 25
47.5, 23
52.2, 23
40.1, 22
28.8, 19
18.4, 19

---

Entry 2:
# PrGa12Pd6
Calculated powder X-ray diffraction pattern, a wavelength of 1.5418 Å. Input: a DFT-relaxed cell (PBE, Alexandria).

Crystal structure
```
PrGa12Pd6
1.0
5.6742 3.2760 2.9966
-5.6742 3.2760 2.9966
0.0000 -6.5520 2.9966
Pr Ga Pd
1 12 6
direct
0.0000 0.0000 0.0000
0.1100 0.5000 0.8900
0.1100 0.8900 0.5000
0.1455 0.3970 0.3970
0.3970 0.1455 0.3970
0.3970 0.3970 0.1455
0.5000 0.1100 0.8900
0.5000 0.8900 0.1100
0.6030 0.6030 0.8545
0.6030 0.8545 0.6030
0.8545 0.6030 0.6030
0.8900 0.1100 0.5000
0.8900 0.5000 0.1100
0.2819 0.7115 0.7115
0.2885 0.2885 0.7181
0.2885 0.7181 0.2885
0.7115 0.2819 0.7115
0.7115 0.7115 0.2819
0.7181 0.2885 0.2885
```

Principal peaks in the range 10 to 90 degrees two-theta, in order of falling intensity:
two_theta, I/Imax
34.4, 100
33.8, 100
44.3, 89
41.3, 83
45.0, 70
50.7, 67
26.0, 58
40.8, 53
31.5, 36
38.6, 34

---

Entry 3:
# NaNpTe
Calculated powder X-ray diffraction pattern, a wavelength of 1.5418 Å. Input: a DFT-relaxed cell (PBE, Alexandria).

Crystal structure
```
NaNpTe
1.0
3.8982 0.0000 0.0000
0.0000 3.6505 0.0000
-1.2835 0.0000 11.7444
Na Np Te
2 2 2
direct
0.2125 0.2500 0.3734
0.7875 0.7500 0.6266
0.1510 0.2500 0.0512
0.8490 0.7500 0.9488
0.3306 0.2500 0.8002
0.6694 0.7500 0.1998
```

Principal peaks in the range 10 to 90 degrees two-theta, in order of falling intensity:
two_theta, I/Imax
33.7, 100
30.6, 83
35.2, 78
33.6, 77
39.4, 75
63.3, 41
36.3, 36
26.1, 30
56.6, 29
59.8, 25